Entry 1:
This entry pairs a crystal structure of Pr2Nd6Ga with its computed powder diffractogram. Radiation: Cu Kα (λ = 1.5418 Å). Structure: a structure optimized by DFT (PBE).
Neutral-atom scattering factors, no anomalous dispersion.

Largest 6 diffraction maxima, low angle first, 5 to 70 degrees two-theta:
2θ/deg	d [Å]	I_rel	(hkl)
30.88	2.896	38.4	0 2 3
31.00	2.885	100.0	1 3 -1
31.15	2.871	84.1	1 1 2
31.82	2.812	57.0	2 0 -2
44.93	2.018	27.3	2 2 1
56.20	1.637	26.4	3 3 -3

Structure:
Unit cell a=5.6245 b=10.0801 c=12.0104 alpha=90.00 beta=117.89 gamma=90.00
Space group P2_1/c (No. 14)
Unique sites:
Pr1 0.2472 0.1874 0.2473 [4 per cell]
Nd1 0.0755 0.6939 0.5751 [4 per cell]
Nd2 0.3040 0.5132 0.3041 [4 per cell]
Nd3 0.3999 0.6352 0.8995 [4 per cell]
Ga1 0.0000 0.0000 0.5000 [2 per cell]



Entry 2:
This entry pairs a crystal structure of Er4PtC2 with its computed powder diffractogram. Radiation: Cu Kα (λ = 1.5418 Å). Structure: a structure optimized by DFT (PBE).
Neutral-atom scattering factors, no anomalous dispersion.

Largest 6 diffraction maxima, low angle first, 5 to 70 degrees two-theta:
2θ/deg	d [Å]	I_rel	(hkl)
32.20	2.780	76.8	0 2 4
33.05	2.710	34.1	0 4 2
33.50	2.675	85.9	1 1 3
34.05	2.633	100.0	1 3 1
36.30	2.475	38.9	1 3 2
62.23	1.492	28.1	1 3 7

Structure:
Unit cell a=3.6366 b=12.0228 c=12.5417 alpha=90.00 beta=90.00 gamma=90.00
Space group Cmcm (No. 63)
Unique sites:
Er1 0.0000 0.0000 0.0000 [4 per cell]
Er2 0.0000 0.2681 0.1073 [8 per cell]
Er3 0.0000 0.4338 0.7500 [4 per cell]
Pt1 0.0000 0.1121 0.7500 [4 per cell]
C1 0.0000 0.3649 0.5611 [8 per cell]